# 1
Simulated X-ray powder pattern
Compound: LuSi2IrPt
Radiation: Cu Kα
Structure: a GGA-PBE-relaxed structure
Kinematic intensities with the Lorentz-polarization factor, no thermal factor.

Crystal structure
```
10
Lattice="4.0833 0.0000 0.0000 0.0000 4.0833 0.0000 0.0000 0.0000 10.0205" Properties=species:S:1:pos:R:3 pbc="T T T"
Lu 1.0208 1.0208 2.4837
Lu 3.0625 3.0625 7.5368
Si 1.0208 1.0208 8.7225
Si 1.0208 3.0625 5.0103
Si 3.0625 1.0208 5.0103
Si 3.0625 3.0625 1.2980
Ir 1.0208 3.0625 0.0000
Ir 3.0625 1.0208 0.0000
Pt 1.0208 1.0208 6.3398
Pt 3.0625 3.0625 3.6807
```

Peak list (6 most intense, 2θ from 10° to 90°, in order of rising 2θ)
d [Å]	I_rel
3.165	29
2.774	53
2.585	58
2.502	100
2.042	59
1.444	31

=====

# 2
Simulated X-ray powder pattern
Compound: LuTaSb2Ir2
Radiation: Cu Kα
Structure: a GGA-PBE-relaxed structure
Kinematic intensities with the Lorentz-polarization factor, no thermal factor.

Crystal structure
```
12
Lattice="4.4952 0.0000 0.0000 0.0000 8.9779 0.0000 0.0000 0.0000 6.3421" Properties=species:S:1:pos:R:3 pbc="T T T"
Lu 0.0000 1.1234 0.0000
Lu 2.2476 7.8544 3.1710
Ta 0.0000 5.5792 6.2729
Ta 2.2476 3.3986 3.1018
Sb 0.0000 1.1073 3.1990
Sb 0.0000 5.6442 3.0532
Sb 2.2476 3.3337 6.2242
Sb 2.2476 7.8705 0.0280
Ir 0.0000 3.4891 4.6155
Ir 0.0000 7.6877 4.8423
Ir 2.2476 1.2901 1.6712
Ir 2.2476 5.4887 1.4445
```

Peak list (6 most intense, 2θ from 10° to 90°, in order of rising 2θ)
d [Å]	I_rel
3.666	41
2.245	100
1.914	19
1.588	11
1.296	27
1.122	8